The following is a computed PXRD pattern of Y2Cd3Pb3. It was derived from a DFT-relaxed cell (GGA-PBE, Alexandria), using copper Kα.
Kinematic intensities with the Lorentz-polarization factor, no thermal factor.

Atomic structure:
```
Y2Cd3Pb3
1.0
4.679 0.000 0.000
0.000 4.898 0.000
0.000 0.000 9.130
Y Cd Pb
2 3 3
direct
0.000 0.000 0.250
0.000 0.000 0.750
0.000 0.500 0.000
0.500 0.500 0.237
0.500 0.500 0.763
0.000 0.500 0.500
0.500 0.000 0.000
0.500 0.000 0.500
```

Principal peaks in the range 2θ = 10–80°, most intense first:
hkl	two_theta	intensity
1 1 2	33.0	100
0 2 0	36.7	19
2 0 0	38.5	17
0 0 4	39.5	15
1 3 2	63.7	15
3 1 2	66.1	13